This entry pairs a crystal structure of Y3Er2In4 with its theoretical XRD peak list. Radiation: Cu Kα X-rays. Structure: a DFT-relaxed cell (PBE, Alexandria).
Lines closer than 0.1° are merged.

Structure:
Cell: 8.462 8.462 9.767 Å, 90.00 90.00 131.11°
Element x y z (fractional)
Y (0.000, 0.000, 0.000)
Y (0.032, 0.468, 0.250)
Y (0.468, 0.032, 0.750)
Y (0.500, 0.500, 0.500)
Y (0.532, 0.968, 0.250)
Y (0.968, 0.532, 0.750)
Er (0.106, 0.894, 0.459)
Er (0.394, 0.606, 0.959)
Er (0.606, 0.394, 0.041)
Er (0.894, 0.106, 0.541)
In (0.196, 0.804, 0.021)
In (0.241, 0.259, 0.250)
In (0.259, 0.241, 0.750)
In (0.304, 0.696, 0.521)
In (0.696, 0.304, 0.479)
In (0.741, 0.759, 0.250)
In (0.759, 0.741, 0.750)
In (0.804, 0.196, 0.979)

Top 10 peaks for 2θ from 5° to 70°, in order of rising 2θ:
2θ (°), d_spacing, intensity
29.52, 3.026, 33.9
29.79, 2.999, 15.8
31.43, 2.846, 100.0
33.06, 2.710, 67.6
34.62, 2.591, 18.9
36.81, 2.442, 24.3
42.40, 2.132, 24.3
49.89, 1.828, 21.0
52.24, 1.751, 12.9
69.36, 1.355, 13.7

This entry pairs a crystal structure of Y5Er4In4 with its theoretical XRD peak list. Radiation: Cu Kα X-rays. Structure: a DFT-relaxed cell (PBE, Alexandria).
Lines closer than 0.1° are merged.

Structure:
Cell: 8.986 8.986 8.986 Å, 94.53 94.53 147.37°
Element x y z (fractional)
Y (0.000, 0.000, 0.000)
Y (0.312, 0.402, 0.714)
Y (0.402, 0.688, 0.090)
Y (0.598, 0.312, 0.910)
Y (0.688, 0.598, 0.286)
Er (0.097, 0.605, 0.702)
Er (0.395, 0.097, 0.492)
Er (0.605, 0.903, 0.508)
Er (0.903, 0.395, 0.298)
In (0.105, 0.236, 0.340)
In (0.236, 0.895, 0.131)
In (0.764, 0.105, 0.869)
In (0.895, 0.764, 0.660)

Top 10 peaks for 2θ from 5° to 70°, in order of rising 2θ:
2θ (°), d_spacing, intensity
10.26, 8.624, 10.3
29.29, 3.049, 9.1
31.84, 2.810, 100.0
35.56, 2.525, 20.6
37.60, 2.392, 17.7
52.72, 1.736, 13.3
58.00, 1.590, 8.6
61.54, 1.507, 14.9
65.54, 1.424, 6.8
68.28, 1.374, 9.3

This entry pairs a crystal structure of Y3Er5In2 with its theoretical XRD peak list. Radiation: Cu Kα X-rays. Structure: a DFT-relaxed cell (PBE, Alexandria).
Lines closer than 0.1° are merged.

Structure:
Cell: 10.508 10.508 10.508 Å, 105.86 84.70 144.99°
Element x y z (fractional)
Y (0.229, 0.113, 0.342)
Y (0.250, 0.250, 0.000)
Y (0.271, 0.613, 0.884)
Y (0.729, 0.387, 0.116)
Y (0.750, 0.750, 0.000)
Y (0.771, 0.887, 0.658)
Er (0.163, 0.377, 0.541)
Er (0.250, 0.501, 0.251)
Er (0.250, 0.750, 0.500)
Er (0.250, 0.999, 0.749)
Er (0.337, 0.877, 0.214)
Er (0.663, 0.123, 0.786)
Er (0.750, 0.001, 0.251)
Er (0.750, 0.250, 0.500)
Er (0.750, 0.499, 0.749)
Er (0.837, 0.623, 0.459)
In (0.147, 0.864, 0.011)
In (0.353, 0.364, 0.717)
In (0.647, 0.636, 0.283)
In (0.853, 0.136, 0.989)

Top 10 peaks for 2θ from 5° to 70°, in order of rising 2θ:
2θ (°), d_spacing, intensity
20.66, 4.299, 22.7
26.33, 3.385, 11.3
30.51, 2.930, 100.0
34.65, 2.589, 17.3
35.17, 2.552, 32.8
36.64, 2.453, 43.1
40.32, 2.237, 42.7
54.19, 1.693, 19.3
54.56, 1.682, 17.5
67.17, 1.394, 22.0

This entry pairs a crystal structure of YEr4In2 with its theoretical XRD peak list. Radiation: Cu Kα X-rays. Structure: a DFT-relaxed cell (PBE, Alexandria).
Lines closer than 0.1° are merged.

Structure:
Cell: 9.344 9.344 4.841 Å, 90.00 90.00 90.00°
Element x y z (fractional)
Y (0.000, 0.000, 0.000)
Y (0.500, 0.500, 0.500)
Er (0.114, 0.359, 0.500)
Er (0.141, 0.614, 0.000)
Er (0.359, 0.114, 0.500)
Er (0.386, 0.859, 0.000)
Er (0.614, 0.141, 0.000)
Er (0.641, 0.886, 0.500)
Er (0.859, 0.386, 0.000)
Er (0.886, 0.641, 0.500)
In (0.170, 0.830, 0.500)
In (0.330, 0.330, 0.000)
In (0.670, 0.670, 0.000)
In (0.830, 0.170, 0.500)

Top 10 peaks for 2θ from 5° to 70°, in order of rising 2θ:
2θ (°), d_spacing, intensity
13.40, 6.607, 17.9
28.21, 3.163, 24.0
30.25, 2.955, 18.4
32.82, 2.729, 100.0
35.60, 2.522, 26.3
37.14, 2.420, 26.5
38.54, 2.336, 19.8
54.60, 1.681, 14.6
55.60, 1.653, 16.5
64.24, 1.450, 14.4